# NiH6Br2N2
Theoretical X-ray powder pattern, Cu Ka. Input: a crystal structure in the Materials Project, relaxed with GGA-PBE.
Intensities are scaled so that the largest is 1000.

Crystal structure
```
NiH6Br2N2
1.0
4.1948 -4.3126 0.0000
4.1948 4.3126 0.0000
-0.2126 0.0000 3.9047
Ni H Br N
1 6 2 2
Cartesian
0.0000 0.0000 0.0000
2.3093 0.7684 0.8003
2.2493 0.3265 3.1397
2.4454 -0.8326 0.4123
5.8677 0.7684 3.1044
5.9277 0.3265 0.7650
5.7316 -0.8326 3.4924
4.0885 2.5369 1.9523
4.0885 -2.5161 1.9523
2.0244 0.0546 0.1183
6.1526 0.0546 3.7864
```

Main lines, most intense first (5° ≤ 2θ ≤ 70°):
14.74°, d = 6.009 Å, rel. 1000; 30.89°, d = 2.895 Å, rel. 785; 21.21°, d = 4.189 Å, rel. 655; 37.03°, d = 2.427 Å, rel. 274; 38.51°, d = 2.338 Å, rel. 242; 40.07°, d = 2.250 Å, rel. 241

=====

# Nd3Ga5SiO14
Theoretical X-ray powder pattern, Cu Ka. Input: a crystal structure in the Materials Project, relaxed with GGA-PBE.
Intensities are scaled so that the largest is 1000.

Crystal structure
```
Nd3Ga5SiO14
1.0
8.1766 0.0000 0.0000
-4.0883 7.0812 0.0000
0.0000 0.0000 5.1244
Nd Ga Si O
3 5 1 14
Cartesian
-2.3253 4.1596 0.0000
1.6487 2.9876 0.0000
0.6766 7.0151 0.0000
0.0000 0.0000 0.0322
1.9360 0.0147 2.6129
0.0000 4.7208 2.7222
3.1330 5.3972 2.6129
7.1959 1.6693 2.6129
4.0883 2.3604 2.3380
-2.8200 6.0757 1.2399
-0.7259 3.2556 3.6115
0.2366 1.6011 1.2399
1.2047 1.0673 3.9272
-0.9059 6.0820 3.6115
0.0000 4.7208 0.9043
3.2571 1.1019 1.6349
1.6318 4.8247 3.6115
4.0883 2.3604 3.9666
3.4141 3.7094 1.6349
2.5834 6.4855 1.2399
5.5938 2.2698 1.6349
6.6500 0.5097 3.9272
4.4102 5.5042 3.9272
```

Main lines, most intense first (5° ≤ 2θ ≤ 70°):
27.92°, d = 3.196 Å, rel. 1000; 30.69°, d = 2.913 Å, rel. 940; 49.23°, d = 1.851 Å, rel. 378; 33.48°, d = 2.676 Å, rel. 333; 49.72°, d = 1.834 Å, rel. 309; 59.71°, d = 1.549 Å, rel. 213

=====

# ZnP2
Theoretical X-ray powder pattern, Cu Ka. Input: a crystal structure in the Materials Project, relaxed with GGA-PBE.
Intensities are scaled so that the largest is 1000.

Crystal structure
```
ZnP2
1.0
5.1016 0.0000 0.0000
0.0000 5.1016 0.0000
0.0000 0.0000 18.6280
Zn P
8 16
Cartesian
0.6940 1.7647 3.7127
0.7861 3.2448 17.6837
1.7647 0.6940 14.9154
1.8568 4.3155 10.2583
3.2448 0.7861 0.9443
3.3369 4.4076 5.6013
4.3155 1.8568 8.3697
4.4076 3.3369 13.0267
0.0485 0.0959 6.9683
0.0959 0.0485 11.6597
0.9265 3.5622 8.2054
1.0114 1.6243 12.8624
1.5394 4.1751 1.1086
1.6243 1.0114 5.7657
2.4549 2.5993 2.3113
2.5023 2.6467 7.0027
2.5993 2.4549 16.3167
2.6467 2.5023 11.6253
3.4773 4.0902 15.0797
3.5622 0.9265 10.4227
4.0902 3.4773 3.5484
4.1751 1.5394 17.5194
5.0057 5.0531 2.3457
5.0531 5.0057 16.2823
```

Main lines, most intense first (5° ≤ 2θ ≤ 70°):
26.50°, d = 3.364 Å, rel. 1000; 25.90°, d = 3.439 Å, rel. 973; 49.58°, d = 1.839 Å, rel. 512; 40.72°, d = 2.216 Å, rel. 413; 31.37°, d = 2.852 Å, rel. 313; 57.71°, d = 1.597 Å, rel. 268

=====

# ZrCrAgS4
Theoretical X-ray powder pattern, Cu Ka. Input: a crystal structure in the Materials Project, relaxed with GGA-PBE.
Intensities are scaled so that the largest is 1000.

Crystal structure
```
ZrCrAgS4
1.0
6.1220 0.0000 0.0000
0.0000 7.1449 0.0000
-0.2539 0.0000 6.5605
Zr Cr Ag S
2 2 2 8
Cartesian
0.0000 0.0000 0.0000
3.0610 2.0082 0.0000
0.0000 3.6940 0.0000
3.0610 5.4492 0.0000
2.9341 1.9383 3.2803
2.9341 5.4184 3.2803
0.9384 1.9559 1.4430
1.0725 5.3546 1.3997
1.7186 3.7771 5.1307
1.8608 0.0427 5.1024
4.0074 0.0427 1.4581
4.1495 3.7771 1.4298
4.7956 5.3546 5.1608
4.9297 1.9559 5.1176
```

Main lines, most intense first (5° ≤ 2θ ≤ 70°):
40.53°, d = 2.226 Å, rel. 1000; 28.94°, d = 3.085 Å, rel. 782; 14.48°, d = 6.117 Å, rel. 651; 39.72°, d = 2.269 Å, rel. 602; 39.50°, d = 2.282 Å, rel. 579; 51.61°, d = 1.771 Å, rel. 544

=====

# CrBiN2
Theoretical X-ray powder pattern, Cu Ka. Input: a crystal structure in the Materials Project, relaxed with GGA-PBE.
Intensities are scaled so that the largest is 1000.

Crystal structure
```
CrBiN2
1.0
3.6600 0.0000 0.0000
0.0000 3.6600 0.0000
0.0000 0.0000 10.1011
Cr Bi N
2 2 4
Cartesian
0.9150 0.9150 0.6326
2.7450 2.7450 9.4685
0.9150 0.9150 6.0730
2.7450 2.7450 4.0282
0.9150 0.9150 2.2263
0.9150 2.7450 0.0000
2.7450 0.9150 0.0000
2.7450 2.7450 7.8748
```

Main lines, most intense first (5° ≤ 2θ ≤ 70°):
30.15°, d = 2.964 Å, rel. 1000; 8.75°, d = 10.101 Å, rel. 574; 34.66°, d = 2.588 Å, rel. 407; 59.35°, d = 1.557 Å, rel. 293; 36.25°, d = 2.478 Å, rel. 261; 25.89°, d = 3.441 Å, rel. 187

=====

# Rb2LiNb2Te2O12
Theoretical X-ray powder pattern, Cu Ka. Input: a crystal structure in the Materials Project, relaxed with GGA-PBE.
Intensities are scaled so that the largest is 1000.

Crystal structure
```
Rb2LiNb2Te2O12
1.0
7.5428 0.0000 0.0000
3.7546 6.5838 0.0000
3.5283 2.2930 6.3134
Rb Li Nb Te O
2 1 2 2 12
Cartesian
0.0000 0.0000 0.0000
3.9412 2.1551 1.7286
10.9830 6.7235 5.1856
5.3299 5.5852 4.0934
7.4368 4.3799 1.2595
7.1346 2.4265 4.3874
8.9791 5.5837 4.4002
5.6517 3.6888 4.7091
5.7521 5.3135 2.3236
7.1490 6.1270 4.7471
9.4355 7.4752 4.0102
9.4431 5.9070 6.2773
7.3488 6.0679 0.0273
7.1435 2.8140 2.4145
8.6501 5.3034 2.5047
8.6256 3.7039 4.8770
10.8789 5.0968 4.0732
8.7006 3.6497 0.1052
12.3540 7.5029 4.0564
```

Main lines, most intense first (5° ≤ 2θ ≤ 70°):
27.41°, d = 3.254 Å, rel. 1000; 47.99°, d = 1.896 Å, rel. 967; 27.55°, d = 3.238 Å, rel. 937; 14.13°, d = 6.266 Å, rel. 879; 27.83°, d = 3.205 Å, rel. 797; 26.94°, d = 3.309 Å, rel. 790

=====

What did the fourth record say?
# ZrCrAgS4
Theoretical X-ray powder pattern, Cu Ka. Input: a crystal structure in the Materials Project, relaxed with GGA-PBE.
Intensities are scaled so that the largest is 1000.

Crystal structure
```
ZrCrAgS4
1.0
6.1220 0.0000 0.0000
0.0000 7.1449 0.0000
-0.2539 0.0000 6.5605
Zr Cr Ag S
2 2 2 8
Cartesian
0.0000 0.0000 0.0000
3.0610 2.0082 0.0000
0.0000 3.6940 0.0000
3.0610 5.4492 0.0000
2.9341 1.9383 3.2803
2.9341 5.4184 3.2803
0.9384 1.9559 1.4430
1.0725 5.3546 1.3997
1.7186 3.7771 5.1307
1.8608 0.0427 5.1024
4.0074 0.0427 1.4581
4.1495 3.7771 1.4298
4.7956 5.3546 5.1608
4.9297 1.9559 5.1176
```

Main lines, most intense first (5° ≤ 2θ ≤ 70°):
40.53°, d = 2.226 Å, rel. 1000; 28.94°, d = 3.085 Å, rel. 782; 14.48°, d = 6.117 Å, rel. 651; 39.72°, d = 2.269 Å, rel. 602; 39.50°, d = 2.282 Å, rel. 579; 51.61°, d = 1.771 Å, rel. 544